# 1
Computed powder diffraction line list of RbHfCO4F4 for Cu Kα, 1.54184 Å, from DFT lattice parameters and positions (GGA-PBE).
No peak broadening, texture or thermal motion is included.

Principal peaks in the range 10° ≤ 2θ ≤ 80°, low angle first:
2θ/deg  I (rel.)  h k l
12.44  76  0 0 2
12.61  100  0 1 1
17.99  65  1 1 -2
24.76  99  1 1 2
25.21  62  2 0 -2
25.56  88  1 1 -4

Structure:
```
data_RbHfCO4F4
_space_group_name_H-M_alt 'P 1 21/c 1'
_space_group_IT_number 14
_cell_length_a 7.0727
_cell_length_b 8.0747
_cell_length_c 15.6291
_cell_angle_alpha 90.00
_cell_angle_beta 114.46
_cell_angle_gamma 90.00
loop_
_space_group_symop_operation_xyz
'x,y,z'
'-x,-y,-z'
'-x,y+1/2,-z+1/2'
'x,-y+1/2,z+1/2'
loop_
_atom_site_label
_atom_site_fract_x
_atom_site_fract_y
_atom_site_fract_z
_atom_site_occupancy
Rb1 0.0879 0.1950 0.0976 1
Hf1 0.4309 0.1595 0.9150 1
C1 0.3884 0.5005 0.9962 1
O1 0.1959 0.7290 0.2452 1
O2 0.2603 0.5985 0.2268 1
O3 0.2815 0.1283 0.4618 1
O4 0.3325 0.6301 0.0250 1
F1 0.1504 0.0725 0.8848 1
F2 0.3233 0.5852 0.6034 1
F3 0.3251 0.2352 0.2905 1
F4 0.4622 0.6147 0.4408 1
```

***

# 2
Computed powder diffraction line list of TiCr2 for Cu Kα, 1.54184 Å, from DFT lattice parameters and positions (GGA-PBE).
No peak broadening, texture or thermal motion is included.

Principal peaks in the range 10° ≤ 2θ ≤ 80°, low angle first:
2θ/deg  I (rel.)  h k l
36.86  24  1 1 0
40.49  62  1 0 3
43.67  100  1 1 2
44.42  88  2 0 1
75.32  25  2 0 5
78.44  23  2 2 0

Structure:
```
data_TiCr2
_space_group_name_H-M_alt 'P 63/m m c'
_space_group_IT_number 194
_space_group_name_Hall '-P 6c 2c'
_cell_length_a 4.8768
_cell_length_b 4.8768
_cell_length_c 7.8679
_cell_angle_alpha 90.00
_cell_angle_beta 90.00
_cell_angle_gamma 120.00
loop_
_atom_site_label
_atom_site_fract_x
_atom_site_fract_y
_atom_site_fract_z
_atom_site_occupancy
Ti1 0.3333 0.6667 0.0605 1
Cr1 0.0000 0.0000 0.0000 1
Cr2 0.1702 0.3404 0.7500 1
```

***

# 3
Computed powder diffraction line list of Mg16MnAl12 for Cu Kα, 1.54184 Å, from DFT lattice parameters and positions (GGA-PBE).
No peak broadening, texture or thermal motion is included.

Principal peaks in the range 10° ≤ 2θ ≤ 80°, low angle first:
2θ/deg  I (rel.)  h k l
11.96  11  1 1 0
36.43  100  3 3 0
40.44  27  3 3 2
42.32  12  4 2 2
44.14  12  4 3 1
65.57  26  7 2 1

Structure:
```
data_Mg16MnAl12
_space_group_name_H-M_alt 'I -4 3 m'
_space_group_IT_number 217
_space_group_name_Hall 'I -4 2 3'
_cell_length_a 10.4627
_cell_length_b 10.4627
_cell_length_c 10.4627
_cell_angle_alpha 90.00
_cell_angle_beta 90.00
_cell_angle_gamma 90.00
loop_
_atom_site_label
_atom_site_fract_x
_atom_site_fract_y
_atom_site_fract_z
_atom_site_occupancy
Mg1 0.0429 0.3570 0.6430 1
Mg2 0.1655 0.1655 0.1655 1
Mn1 0.0000 0.0000 0.0000 1
Al1 0.0891 0.0891 0.7272 1
```